Entry 1:
The following is a calculated PXRD pattern of LuUTe6. It was derived from a GGA-PBE-relaxed structure, using Cu Ka.

Atomic structure:
```
LuUTe6
1.0
4.3524 0.0000 0.0000
0.0000 4.3428 0.0000
0.0000 0.0000 25.4633
Lu U Te
2 2 12
direct
0.0000 0.0000 0.0000 Lu
0.0000 0.5000 0.5000 Lu
0.5000 0.0000 0.6643 U
0.5000 0.5000 0.1643 U
0.0000 0.0000 0.1263 Te
0.0000 0.0000 0.4062 Te
0.0000 0.0000 0.7575 Te
0.0000 0.5000 0.2575 Te
0.0000 0.5000 0.6263 Te
0.0000 0.5000 0.9062 Te
0.5000 0.0000 0.2576 Te
0.5000 0.0000 0.5379 Te
0.5000 0.0000 0.9058 Te
0.5000 0.5000 0.0379 Te
0.5000 0.5000 0.4058 Te
0.5000 0.5000 0.7576 Te
```

Peak list (10 most intense, 10° ≤ 2θ ≤ 80°, by intensity)
2theta	I_rel	h k l
30.94	100.0	1 1 3
34.07	74.4	1 1 5
41.54	65.9	2 0 0
28.03	44.6	0 0 8
50.87	34.3	2 0 8
29.26	34.3	1 1 1
38.33	32.7	1 1 7
34.92	22.9	1 0 8
60.20	22.1	2 2 0
37.96	19.7	0 1 9


Entry 2:
The following is a calculated PXRD pattern of LuTh3. It was derived from a GGA-PBE-relaxed structure, using Cu Ka.

Atomic structure:
```
LuTh3
1.0
5.0375 0.0000 0.0000
0.0000 5.0375 0.0000
0.0000 0.0000 5.0375
Lu Th
1 3
direct
0.0000 0.0000 0.0000 Lu
0.0000 0.5000 0.5000 Th
0.5000 0.0000 0.5000 Th
0.5000 0.5000 0.0000 Th
```

Peak list (9 most intense, 10° ≤ 2θ ≤ 80°, by intensity)
2theta	I_rel	h k l
30.74	100.0	1 1 1
35.65	51.0	2 0 0
61.00	44.4	3 1 1
51.30	37.0	2 2 0
64.03	12.8	2 2 2
75.49	6.0	4 0 0
17.61	0.9	1 0 0
25.00	0.8	1 1 0
40.02	0.5	2 1 0


Entry 3:
The following is a calculated PXRD pattern of Lu3Th. It was derived from a GGA-PBE-relaxed structure, using Cu Ka.

Atomic structure:
```
Lu3Th
1.0
3.5382 0.0000 0.0000
-1.7691 3.0642 0.0000
0.0000 0.0000 11.2712
Lu Th
3 1
direct
0.0000 0.0000 0.0000 Lu
0.3333 0.6667 0.2462 Lu
0.3333 0.6667 0.7538 Lu
0.0000 0.0000 0.5000 Th
```

Peak list (10 most intense, 10° ≤ 2θ ≤ 80°, by intensity)
2theta	I_rel	h k l
33.28	100.0	1 0 2
31.76	25.0	0 0 4
29.14	23.8	1 0 0
61.93	22.8	1 1 4
57.55	21.5	1 0 6
51.67	19.6	1 1 0
62.86	16.4	2 0 2
43.64	16.1	1 0 4
69.89	4.1	2 0 4
74.06	3.4	1 0 8


Entry 4:
The following is a calculated PXRD pattern of Lu3Th. It was derived from a GGA-PBE-relaxed structure, using Cu Ka.

Atomic structure:
```
Lu3Th
1.0
7.0427 0.0000 0.0000
-3.5213 6.0991 0.0000
0.0000 0.0000 5.6799
Lu Th
6 2
direct
0.1660 0.3321 0.2500 Lu
0.1660 0.8340 0.2500 Lu
0.3321 0.1660 0.7500 Lu
0.6679 0.8340 0.2500 Lu
0.8340 0.1660 0.7500 Lu
0.8340 0.6679 0.7500 Lu
0.3333 0.6667 0.7500 Th
0.6667 0.3333 0.2500 Th
```

Peak list (10 most intense, 10° ≤ 2θ ≤ 80°, by intensity)
2theta	I_rel	h k l
33.35	100.0	2 0 1
31.50	25.8	0 0 2
29.29	23.3	2 0 0
62.02	22.9	2 2 2
57.28	21.8	2 0 3
51.93	19.4	2 2 0
63.13	16.3	4 0 1
43.55	16.1	2 0 2
70.04	4.0	4 0 2
73.58	3.5	2 0 4


Entry 5:
The following is a calculated PXRD pattern of Lu3Th. It was derived from a GGA-PBE-relaxed structure, using Cu Ka.

Atomic structure:
```
Lu3Th
1.0
4.9892 0.0000 0.0000
0.0000 4.9892 0.0000
0.0000 0.0000 9.7704
Lu Th
6 2
direct
0.0000 0.0000 0.0000 Lu
0.0000 0.5000 0.2500 Lu
0.0000 0.5000 0.7500 Lu
0.5000 0.0000 0.2500 Lu
0.5000 0.0000 0.7500 Lu
0.5000 0.5000 0.5000 Lu
0.0000 0.0000 0.5000 Th
0.5000 0.5000 0.0000 Th
```

Peak list (10 most intense, 10° ≤ 2θ ≤ 80°, by intensity)
2theta	I_rel	h k l
31.27	100.0	1 1 2
36.00	34.5	2 0 0
61.79	29.3	3 1 2
52.43	23.9	2 0 4
36.80	16.3	0 0 4
62.86	13.9	1 1 6
65.24	12.5	2 2 4
51.83	12.4	2 2 0
76.35	4.0	4 0 0
78.28	1.9	0 0 8


Entry 6:
The following is a calculated PXRD pattern of LuTh. It was derived from a GGA-PBE-relaxed structure, using Cu Ka.

Atomic structure:
```
LuTh
1.0
3.5175 0.0000 0.0000
-1.7588 3.0463 0.0000
0.0000 0.0000 17.1120
Lu Th
3 3
direct
0.0000 0.0000 0.0000 Lu
0.3333 0.6667 0.6667 Lu
0.6667 0.3333 0.3333 Lu
0.0000 0.0000 0.5000 Th
0.3333 0.6667 0.1667 Th
0.6667 0.3333 0.8333 Th
```

Peak list (10 most intense, 10° ≤ 2θ ≤ 80°, by intensity)
2theta	I_rel	h k l
31.17	100.0	0 1 2
36.20	67.5	1 0 4
31.37	32.8	0 0 6
61.99	29.0	1 1 6
52.00	24.4	1 1 0
52.26	24.1	0 1 8
61.87	14.6	2 0 2
62.23	14.4	1 0 10
65.00	12.6	0 2 4
76.83	7.9	2 0 8


> Which formula does entry 5 have?

Lu3Th